[1]
Starting from a cell relaxed with PBE, the PXRD pattern of Ca2IO5 was computed for Cu Kα.

Most intense lines, 10 to 80 degrees two-theta, in order of falling intensity:
| 2θ/deg | d_spacing | intensity | (hkl) |
| --- | --- | --- | --- |
| 22.0 | 4.042 | 100 | 1 1 1 |
| 16.4 | 5.399 | 72 | 0 0 1 |
| 27.0 | 3.299 | 39 | 0 1 -1 |
| 31.0 | 2.887 | 29 | 1 0 -1 |
| 34.3 | 2.616 | 29 | 0 2 1 |
| 39.5 | 2.279 | 27 | 2 1 1 |
| 31.9 | 2.806 | 25 | 1 -1 0 |
| 17.2 | 5.142 | 20 | 0 1 0 |
| 49.7 | 1.836 | 18 | 1 0 3 |
| 41.8 | 2.159 | 17 | 0 1 -2 |

Cell and atoms:
Cell: 4.5589 5.8120 6.0558 Å, 67.62 67.98 66.92°
Space group P1 (No. 1)
Inequivalent atoms, fractional coordinates:
Ca 0.0000 0.0000 0.0000 x1
Ca 0.4068 0.6864 0.5021 x1
I 0.1806 0.3432 0.2510 x1
O 0.1690 0.0969 0.5792 x1
O 0.2503 0.5894 0.9229 x1
O 0.4240 0.0382 0.1131 x1
O 0.7708 0.3434 0.2507 x1
O 0.9816 0.6481 0.3891 x1



[2]
Starting from a cell relaxed with PBE, the PXRD pattern of Ca6IO12 was computed for Cu Kα.

Most intense lines, 10 to 80 degrees two-theta, in order of falling intensity:
| 2θ/deg | d_spacing | intensity | (hkl) |
| --- | --- | --- | --- |
| 29.1 | 3.065 | 100 | 2 1 1 |
| 14.0 | 6.340 | 54 | 1 0 1 |
| 47.8 | 1.905 | 40 | 2 1 4 |
| 28.4 | 3.138 | 36 | 0 0 3 |
| 33.6 | 2.670 | 27 | 3 -2 2 |
| 21.5 | 4.127 | 26 | 0 1 2 |
| 48.7 | 1.871 | 25 | 1 4 0 |
| 46.7 | 1.944 | 21 | 2 2 3 |
| 57.3 | 1.607 | 19 | 5 -1 3 |
| 22.8 | 3.902 | 17 | 0 2 1 |

Cell and atoms:
Cell: 9.9029 9.9029 9.4151 Å, 90.00 90.00 120.00°
Space group R-3 (No. 148, hexagonal axes)
Inequivalent atoms, fractional coordinates:
Ca 0.0656 0.4848 0.3181 x18
I 0.0000 0.0000 0.0000 x3
O 0.0483 0.1802 0.8902 x18
O 0.0704 0.4950 0.0543 x18